(1)
Calculated PXRD pattern
Compound: AcDy2Y3
Radiation: Cu Kα
Structure: a DFT-relaxed cell (PBE, Alexandria)
Kinematic intensities with the Lorentz-polarization factor, no thermal factor.

Cell and atoms:
```
AcDy2Y3
1.0
11.666 -1.795 0.000
11.666 1.795 0.000
-3.390 0.000 9.945
Ac Dy Y
2 4 6
direct
0.181 0.181 0.039
0.819 0.819 0.961
0.192 0.192 0.377
0.434 0.434 0.853
0.566 0.566 0.147
0.808 0.808 0.623
0.060 0.060 0.444
0.195 0.195 0.711
0.434 0.434 0.244
0.566 0.566 0.756
0.805 0.805 0.289
0.940 0.940 0.556
```

Largest 6 diffraction maxima, low angle first, 2θ from 10° to 80°:
27.64°, I 92; 29.89°, I 100; 30.56°, I 95; 32.13°, I 77; 32.43°, I 85; 36.13°, I 53

(2)
Calculated PXRD pattern
Compound: AcDy4Zn
Radiation: Cu Kα
Structure: a DFT-relaxed cell (PBE, Alexandria)
Kinematic intensities with the Lorentz-polarization factor, no thermal factor.

Cell and atoms:
```
AcDy4Zn
1.0
3.646 0.000 0.000
0.000 3.646 0.000
0.000 0.000 13.805
Ac Dy Zn
1 4 1
direct
0.000 0.000 0.000
0.000 0.000 0.375
0.000 0.000 0.625
0.500 0.500 0.196
0.500 0.500 0.804
0.500 0.500 0.500
```

Largest 6 diffraction maxima, low angle first, 2θ from 10° to 80°:
27.67°, I 34; 31.30°, I 100; 34.79°, I 52; 48.29°, I 23; 50.03°, I 19; 60.20°, I 31

(3)
Calculated PXRD pattern
Compound: AcDyZn3
Radiation: Cu Kα
Structure: a DFT-relaxed cell (PBE, Alexandria)
Kinematic intensities with the Lorentz-polarization factor, no thermal factor.

Cell and atoms:
```
AcDyZn3
1.0
1.902 -13.846 0.000
1.902 13.846 0.000
0.000 0.000 4.639
Ac Dy Zn
2 2 6
direct
0.076 0.924 0.750
0.924 0.076 0.250
0.210 0.790 0.250
0.790 0.210 0.750
0.320 0.680 0.250
0.374 0.626 0.750
0.476 0.524 0.750
0.524 0.476 0.250
0.626 0.374 0.250
0.680 0.320 0.750
```

Largest 6 diffraction maxima, low angle first, 2θ from 10° to 80°:
23.08°, I 32; 31.93°, I 100; 32.66°, I 52; 37.84°, I 47; 38.82°, I 28; 51.61°, I 29

(4)
Calculated PXRD pattern
Compound: Ac3Er
Radiation: Cu Kα
Structure: a DFT-relaxed cell (PBE, Alexandria)
Kinematic intensities with the Lorentz-polarization factor, no thermal factor.

Cell and atoms:
```
Ac3Er
1.0
5.490 0.000 0.000
0.000 5.490 0.000
0.000 0.000 10.904
Ac Er
6 2
direct
0.000 0.000 0.000
0.000 0.500 0.250
0.000 0.500 0.750
0.500 0.000 0.250
0.500 0.000 0.750
0.500 0.500 0.500
0.000 0.000 0.500
0.500 0.500 0.000
```

Largest 6 diffraction maxima, low angle first, 2θ from 10° to 80°:
28.22°, I 100; 32.62°, I 35; 32.86°, I 17; 46.98°, I 26; 55.56°, I 31; 55.86°, I 15